No. 1
This entry pairs a crystal structure of KLi2Os2O7 with its computed X-ray diffraction stick pattern. Radiation: copper Kα. Structure: a DFT-relaxed cell (PBE, Alexandria).

Top 12 peaks for 2θ from 15° to 90°, in order of rising 2θ:
19.4 deg, d = 4.564 Å, intensity 566
23.6 deg, d = 3.771 Å, intensity 1000
27.4 deg, d = 3.256 Å, intensity 514
32.9 deg, d = 2.725 Å, intensity 448
33.8 deg, d = 2.651 Å, intensity 661
38.5 deg, d = 2.340 Å, intensity 195
47.2 deg, d = 1.927 Å, intensity 307
50.9 deg, d = 1.795 Å, intensity 253
51.5 deg, d = 1.775 Å, intensity 180
53.4 deg, d = 1.716 Å, intensity 223
59.3 deg, d = 1.559 Å, intensity 279
71.9 deg, d = 1.314 Å, intensity 178

Crystal structure
abc: 9.527 9.527 9.527
angles: 156.66 156.66 33.25
Atoms (fractional coordinates):
1 K 0.000 0.000 0.000
2 Li 0.250 0.750 0.500
3 Li 0.750 0.250 0.500
4 Os 0.389 0.389 0.000
5 Os 0.611 0.611 0.000
6 O 0.110 0.610 0.500
7 O 0.284 0.284 0.000
8 O 0.390 0.890 0.500
9 O 0.500 0.500 0.000
10 O 0.610 0.110 0.500
11 O 0.716 0.716 0.000
12 O 0.890 0.390 0.500


No. 2
This entry pairs a crystal structure of Y4Ho8Mg with its computed X-ray diffraction stick pattern. Radiation: copper Kα. Structure: a DFT-relaxed cell (PBE, Alexandria).

Top 12 peaks for 2θ from 15° to 90°, in order of rising 2θ:
31.1 deg, d = 2.875 Å, intensity 1000
36.0 deg, d = 2.495 Å, intensity 339
36.2 deg, d = 2.479 Å, intensity 164
51.8 deg, d = 1.764 Å, intensity 119
52.0 deg, d = 1.759 Å, intensity 233
61.7 deg, d = 1.504 Å, intensity 280
62.0 deg, d = 1.497 Å, intensity 70
62.0 deg, d = 1.497 Å, intensity 68
64.9 deg, d = 1.438 Å, intensity 119
84.7 deg, d = 1.145 Å, intensity 58
84.9 deg, d = 1.142 Å, intensity 57
85.0 deg, d = 1.141 Å, intensity 56

Crystal structure
abc: 6.109 6.109 14.484
angles: 94.34 94.34 48.17
Atoms (fractional coordinates):
1 Y 0.111 0.111 0.152
2 Y 0.346 0.346 0.460
3 Y 0.654 0.654 0.540
4 Y 0.889 0.889 0.848
5 Ho 0.036 0.036 0.382
6 Ho 0.198 0.198 0.924
7 Ho 0.270 0.270 0.695
8 Ho 0.418 0.418 0.227
9 Ho 0.582 0.582 0.773
10 Ho 0.730 0.730 0.305
11 Ho 0.802 0.802 0.076
12 Ho 0.964 0.964 0.618
13 Mg 0.500 0.500 0.000